# Zr2TlWO8
Calculated powder diffractogram, Cu Kα (λ = 1.5418 Å). Input: a crystal structure in Alexandria, relaxed with PBE+U.
Kinematic intensities with the Lorentz-polarization factor, no thermal factor.

Top 12 peaks for 2θ = 15–90°, most intense first:
2theta, d (Å), Rel. int.
32.0, 2.793, 100
25.4, 3.503, 56
25.8, 3.456, 54
49.2, 1.853, 39
49.6, 1.839, 37
36.5, 2.460, 28
18.0, 4.920, 25
62.9, 1.477, 22
67.0, 1.397, 11
37.1, 2.421, 11
60.8, 1.523, 11
52.2, 1.751, 9

```
Zr2TlWO8
1.0
3.4563 -3.5025 0.0000
3.4563 3.5025 0.0000
0.0000 0.0000 6.7860
Zr Tl W O
2 1 1 8
direct
0.0000 0.0000 0.2484
0.0000 0.0000 0.7516
0.5000 0.5000 0.0000
0.5000 0.5000 0.5000
0.1749 0.8251 0.0000
0.2130 0.7870 0.5000
0.3016 0.3016 0.2963
0.3016 0.3016 0.7037
0.6984 0.6984 0.2963
0.6984 0.6984 0.7037
0.7870 0.2130 0.5000
0.8251 0.1749 0.0000
```